(1)
The following is a theoretical powder diffractogram of NpCoTe. It was derived from a DFT-relaxed cell (GGA-PBE, Alexandria), using Cu Kα.

Cell and atoms:
```
NpCoTe
1.0
4.8911 0.0000 0.0000
0.0000 4.1604 0.0000
-0.9969 0.0000 6.4048
Np Co Te
2 2 2
Direct
0.1978 0.2500 0.2160
0.8022 0.7500 0.7840
0.3218 0.7500 0.9586
0.6782 0.2500 0.0414
0.2793 0.2500 0.7091
0.7207 0.7500 0.2909
```

Top 8 peaks for 2θ from 10° to 80°, by angle:
2θ/deg  d [Å]  I_rel  h k l
27.86  3.202  45  0 0 2
28.30  3.153  100  1 1 0
35.37  2.538  24  0 1 2
37.21  2.416  35  2 0 0
37.99  2.369  74  1 1 -2
42.19  2.142  52  1 1 2
43.30  2.090  26  2 0 -2
43.51  2.080  34  0 2 0

***

(2)
The following is a theoretical powder diffractogram of LaMgSc. It was derived from a DFT-relaxed cell (GGA-PBE, Alexandria), using Cu Kα.

Cell and atoms:
```
LaMgSc
1.0
3.4412 0.0000 0.0000
0.0000 3.4412 0.0000
0.0000 0.0000 14.3785
La Mg Sc
2 2 2
Direct
0.2500 0.2500 0.2449
0.7500 0.7500 0.7551
0.2500 0.2500 0.9310
0.7500 0.7500 0.0690
0.2500 0.2500 0.5755
0.7500 0.7500 0.4245
```

Top 8 peaks for 2θ from 10° to 80°, by angle:
2θ/deg  d [Å]  I_rel  h k l
12.31  7.189  47  0 0 2
24.77  3.595  16  0 0 4
26.64  3.347  42  1 0 1
32.02  2.795  100  1 0 3
36.94  2.433  34  1 1 0
37.53  2.396  15  0 0 6
53.68  1.707  21  1 1 6
63.49  1.465  26  2 1 3